Starting from a GGA+U-relaxed structure, the X-ray diffraction stick pattern of Mn3OF5 was calculated for CuKα.

Top 10 peaks for 2θ = 10–90°, in order of falling intensity:
2theta	d/Å	I (rel.)	hkl
25.04	3.557	100	1 0 -3
33.25	2.694	95	1 1 0
26.13	3.411	91	1 0 3
50.81	1.797	55	2 1 3
49.55	1.840	34	2 1 -3
49.62	1.837	33	1 1 -6
63.55	1.464	23	3 1 0
63.74	1.460	22	0 1 9
37.69	2.387	21	1 1 -3
51.38	1.778	20	2 0 -6

Structural model:
Cell: 4.9360 3.2191 14.7575 Å, 90.00 92.40 90.00°
Fractional positions:
1 Mn 0.0000 0.0000 0.0000
2 Mn 0.0157 0.0000 0.6720
3 Mn 0.4768 0.5000 0.8249
4 Mn 0.5000 0.5000 0.5000
5 Mn 0.5232 0.5000 0.1751
6 Mn 0.9843 0.0000 0.3280
7 O 0.3045 0.0000 0.7666
8 O 0.6955 0.0000 0.2334
9 F 0.1891 0.5000 0.2685
10 F 0.1936 0.5000 0.5986
11 F 0.2027 0.5000 0.9381
12 F 0.2944 0.0000 0.4308
13 F 0.3164 0.0000 0.1075
14 F 0.6836 0.0000 0.8925
15 F 0.7056 0.0000 0.5692
16 F 0.7973 0.5000 0.0619
17 F 0.8064 0.5000 0.4014
18 F 0.8109 0.5000 0.7315